Entry 1:
This entry pairs a crystal structure of Pr2Sn3 with its simulated PXRD pattern. Radiation: Cu Kα. Structure: DFT lattice parameters and positions (GGA-PBE).

Crystal structure
```
Pr2Sn3
1.0
6.496 0.000 0.000
-1.531 8.472 0.000
-1.337 -3.666 10.595
Pr Sn
8 12
Direct
0.042 0.249 0.444
0.126 0.254 0.884
0.332 0.532 0.245
0.443 0.070 0.164
0.557 0.930 0.836
0.668 0.468 0.755
0.874 0.746 0.116
0.958 0.751 0.556
0.049 0.853 0.879
0.177 0.537 0.723
0.222 0.906 0.364
0.324 0.102 0.639
0.356 0.666 0.999
0.437 0.669 0.551
0.563 0.331 0.449
0.644 0.334 0.001
0.676 0.898 0.361
0.778 0.094 0.636
0.823 0.463 0.277
0.951 0.147 0.121
```

Principal peaks in the range 2θ from 10° to 90°, in order of falling intensity:
hkl, 2θ (°), I (rel.)
0 1 -4, 31.96, 100
0 2 2, 32.13, 71
0 3 -2, 32.25, 65
2 1 -2, 32.63, 58
2 0 2, 35.78, 28
2 1 -1, 31.64, 28
-2 1 3, 37.00, 27
1 -3 0, 33.42, 25

Entry 2:
This entry pairs a crystal structure of IrC with its simulated PXRD pattern. Radiation: Cu Kα. Structure: DFT lattice parameters and positions (GGA-PBE).

Crystal structure
```
IrC
1.0
3.050 0.000 0.000
-1.525 2.642 0.000
0.000 0.000 2.673
Ir C
1 1
Direct
0.000 0.000 0.000
0.333 0.667 0.500
```

Principal peaks in the range 2θ from 10° to 90°, in order of falling intensity:
hkl, 2θ (°), I (rel.)
1 0 0, 33.94, 100
1 0 1, 48.44, 83
0 0 1, 33.52, 32
1 1 1, 71.18, 23
1 1 0, 60.73, 22
2 0 1, 81.24, 19
1 0 2, 80.54, 18
2 0 0, 71.42, 12

Entry 3:
This entry pairs a crystal structure of ThNb4O12 with its simulated PXRD pattern. Radiation: Cu Kα. Structure: DFT lattice parameters and positions (GGA-PBE).

Crystal structure
```
ThNb4O12
1.0
5.616 0.000 0.000
0.000 15.812 0.000
0.000 0.000 5.556
Th Nb O
2 8 24
Direct
0.250 0.250 0.239
0.750 0.750 0.761
0.250 0.119 0.738
0.250 0.381 0.738
0.250 0.622 0.761
0.250 0.878 0.761
0.750 0.122 0.239
0.750 0.378 0.239
0.750 0.619 0.262
0.750 0.881 0.262
0.008 0.118 0.009
0.008 0.382 0.009
0.016 0.151 0.487
0.016 0.349 0.487
0.250 0.000 0.682
0.250 0.250 0.833
0.250 0.500 0.682
0.250 0.750 0.805
0.484 0.151 0.487
0.484 0.349 0.487
0.492 0.118 0.009
0.492 0.382 0.009
0.508 0.618 0.991
0.508 0.882 0.991
0.516 0.651 0.513
0.516 0.849 0.513
0.750 0.000 0.318
0.750 0.250 0.195
0.750 0.500 0.318
0.750 0.750 0.167
0.984 0.651 0.513
0.984 0.849 0.513
0.992 0.618 0.991
0.992 0.882 0.991
```

Principal peaks in the range 2θ from 10° to 90°, in order of falling intensity:
hkl, 2θ (°), I (rel.)
1 4 1, 32.03, 100
2 0 2, 45.94, 53
0 2 0, 11.19, 46
0 1 1, 16.91, 44
1 1 0, 16.75, 42
1 2 1, 25.20, 37
1 0 1, 22.50, 33
2 8 0, 56.92, 32

Entry 4:
This entry pairs a crystal structure of VCoN2 with its simulated PXRD pattern. Radiation: Cu Kα. Structure: DFT lattice parameters and positions (GGA-PBE).

Crystal structure
```
VCoN2
1.0
2.837 0.000 0.000
-1.419 2.457 0.000
0.000 0.000 9.589
V Co N
2 2 4
Direct
0.333 0.667 0.250
0.667 0.333 0.750
0.000 0.000 0.000
0.000 0.000 0.500
0.333 0.667 0.621
0.333 0.667 0.879
0.667 0.333 0.121
0.667 0.333 0.379
```

Principal peaks in the range 2θ from 10° to 90°, in order of falling intensity:
hkl, 2θ (°), I (rel.)
1 0 2, 41.28, 100
1 0 3, 46.62, 32
1 1 0, 65.83, 26
0 0 4, 37.52, 22
1 0 6, 70.26, 19
1 1 4, 78.31, 15
1 0 4, 53.39, 14
1 0 1, 37.79, 13

Entry 5:
This entry pairs a crystal structure of K3LiSi4 with its simulated PXRD pattern. Radiation: Cu Kα. Structure: DFT lattice parameters and positions (GGA-PBE).

Crystal structure
```
K3LiSi4
1.0
7.674 0.000 0.000
0.000 9.790 0.000
0.000 0.000 12.295
K Li Si
12 4 16
Direct
0.154 0.055 0.193
0.154 0.445 0.193
0.155 0.250 0.899
0.345 0.750 0.399
0.346 0.555 0.693
0.346 0.945 0.693
0.654 0.055 0.307
0.654 0.445 0.307
0.655 0.250 0.601
0.845 0.750 0.101
0.846 0.555 0.807
0.846 0.945 0.807
0.000 0.000 0.500
0.000 0.500 0.500
0.500 0.000 0.000
0.500 0.500 0.000
0.012 0.250 0.417
0.139 0.250 0.601
0.216 0.629 0.952
0.216 0.871 0.952
0.284 0.129 0.452
0.284 0.371 0.452
0.361 0.750 0.101
0.488 0.750 0.917
0.512 0.250 0.083
0.639 0.250 0.899
0.716 0.629 0.548
0.716 0.871 0.548
0.784 0.129 0.048
0.784 0.371 0.048
0.861 0.750 0.399
0.988 0.750 0.583
```

Principal peaks in the range 2θ from 10° to 90°, in order of falling intensity:
hkl, 2θ (°), I (rel.)
0 2 2, 23.22, 100
2 2 1, 30.48, 94
1 0 4, 31.35, 81
0 3 1, 28.30, 73
2 0 3, 31.95, 62
2 1 0, 24.93, 59
1 2 2, 26.00, 40
1 1 3, 26.28, 40